Structure and theoretical powder diffractogram of LaWClO4 (DFT lattice parameters and positions (GGA+U); Cu Kα (λ = 1.5418 Å)).

Top 10 peaks for 10 to 90 degrees two-theta, low angle first:
| 2theta | I/Imax |
| --- | --- |
| 18.16 | 30.6 |
| 23.39 | 100.0 |
| 27.00 | 85.3 |
| 28.53 | 27.3 |
| 29.12 | 54.1 |
| 29.49 | 59.2 |
| 31.18 | 28.8 |
| 32.73 | 37.2 |
| 41.92 | 36.5 |
| 52.29 | 25.8 |

Structural model:
Cell lengths 19.542, 6.058, 3.940 Å; angles 90.00, 90.00, 90.00 degrees
Space group Pnma (No. 62)
Inequivalent atoms, fractional coordinates:
La  0.103  0.250  0.244
W  0.179  0.750  0.709
Cl  0.012  0.750  0.253
O  0.134  0.020  0.745
O  0.175  0.750  0.235
O  0.229  0.250  0.246